# 1
H6IrRhPb2: computed powder diffraction line list (Cu Kα (λ = 1.5418 Å)), based on a DFT-relaxed cell (PBE, Alexandria).

Structural model:
```
data_H6IrRhPb2
_chemical_formula_sum 'H6 Ir1 Rh1 Pb2'
_symmetry_space_group_name_H-M 'P 1'
_symmetry_Int_Tables_number 1
_cell_length_a 5.3421
_cell_length_b 5.3264
_cell_length_c 5.3124
_cell_angle_alpha 60.28
_cell_angle_beta 59.99
_cell_angle_gamma 59.73
loop_
_symmetry_equiv_pos_as_xyz
'x,y,z'
loop_
_atom_site_label
_atom_site_fract_x
_atom_site_fract_y
_atom_site_fract_z
H1 0.2406 0.2406 0.7594
H2 0.2419 0.7581 0.2419
H3 0.2435 0.7565 0.7565
H4 0.7565 0.2435 0.2435
H5 0.7581 0.2419 0.7581
H6 0.7594 0.7594 0.2406
Ir1 0.0000 0.0000 0.0000
Rh1 0.5000 0.5000 0.5000
Pb1 0.2500 0.2500 0.2500
Pb2 0.7500 0.7500 0.7500
```

Peak list (10 most intense, 10° ≤ 2θ ≤ 90°, low angle first)
| 2theta | I/Imax |
| --- | --- |
| 33.6 | 51 |
| 33.7 | 100 |
| 48.0 | 10 |
| 48.3 | 9 |
| 48.6 | 9 |
| 60.0 | 20 |
| 60.2 | 19 |
| 60.4 | 19 |
| 80.2 | 9 |
| 81.1 | 8 |

---

# 2
Pr3NpS4: computed powder diffraction line list (Cu Kα (λ = 1.5418 Å)), based on a DFT-relaxed cell (PBE, Alexandria).

Structural model:
```
data_Pr3NpS4
_chemical_formula_sum 'Pr3 Np1 S4'
_symmetry_space_group_name_H-M 'P 1'
_symmetry_Int_Tables_number 1
_cell_length_a 7.0400
_cell_length_b 7.0400
_cell_length_c 4.0485
_cell_angle_alpha 90.00
_cell_angle_beta 90.00
_cell_angle_gamma 109.30
loop_
_symmetry_equiv_pos_as_xyz
'x,y,z'
loop_
_atom_site_label
_atom_site_fract_x
_atom_site_fract_y
_atom_site_fract_z
Pr1 0.0000 0.0000 0.0000
Pr2 0.0000 0.5000 0.5000
Pr3 0.5000 0.0000 0.5000
Np1 0.5000 0.5000 0.0000
S1 0.2554 0.7446 0.0000
S2 0.2616 0.2616 0.5000
S3 0.7384 0.7384 0.5000
S4 0.7446 0.2554 0.0000
```

Peak list (10 most intense, 10° ≤ 2θ ≤ 90°, low angle first)
| 2theta | I/Imax |
| --- | --- |
| 26.8 | 42 |
| 26.9 | 41 |
| 31.1 | 100 |
| 44.6 | 49 |
| 52.8 | 21 |
| 53.0 | 21 |
| 55.3 | 13 |
| 55.5 | 13 |
| 73.8 | 22 |
| 82.4 | 12 |

---

# 3
Co2CS: computed powder diffraction line list (Cu Kα (λ = 1.5418 Å)), based on a DFT-relaxed cell (PBE, Alexandria).

Structural model:
```
data_Co2CS
_chemical_formula_sum 'Co4 C2 S2'
_symmetry_space_group_name_H-M 'P 1'
_symmetry_Int_Tables_number 1
_cell_length_a 5.7528
_cell_length_b 5.7528
_cell_length_c 5.7528
_cell_angle_alpha 133.93
_cell_angle_beta 133.93
_cell_angle_gamma 67.19
loop_
_symmetry_equiv_pos_as_xyz
'x,y,z'
loop_
_atom_site_label
_atom_site_fract_x
_atom_site_fract_y
_atom_site_fract_z
Co1 0.0616 0.6250 0.9366
Co2 0.3750 0.3116 0.4366
Co3 0.6884 0.1250 0.0634
Co4 0.8750 0.9384 0.5634
C1 0.0000 0.0000 0.0000
C2 0.7500 0.2500 0.5000
S1 0.2500 0.7500 0.5000
S2 0.5000 0.5000 0.0000
```

Peak list (10 most intense, 10° ≤ 2θ ≤ 90°, low angle first)
| 2theta | I/Imax |
| --- | --- |
| 33.8 | 100 |
| 34.4 | 10 |
| 37.5 | 8 |
| 40.1 | 8 |
| 46.1 | 19 |
| 53.8 | 7 |
| 56.1 | 30 |
| 57.9 | 10 |
| 65.4 | 13 |
| 68.8 | 12 |

---

# 4
TbDy2Y2Mg: computed powder diffraction line list (Cu Kα (λ = 1.5418 Å)), based on a DFT-relaxed cell (PBE, Alexandria).

Structural model:
```
data_TbDy2Y2Mg
_chemical_formula_sum 'Tb2 Dy4 Y4 Mg2'
_symmetry_space_group_name_H-M 'P 1'
_symmetry_Int_Tables_number 1
_cell_length_a 10.3915
_cell_length_b 11.6786
_cell_length_c 3.6089
_cell_angle_alpha 90.00
_cell_angle_beta 90.00
_cell_angle_gamma 90.00
loop_
_symmetry_equiv_pos_as_xyz
'x,y,z'
loop_
_atom_site_label
_atom_site_fract_x
_atom_site_fract_y
_atom_site_fract_z
Tb1 0.0000 0.0000 0.0000
Tb2 0.5000 0.5000 0.5000
Dy1 0.0851 0.2256 0.5000
Dy2 0.4149 0.7256 0.0000
Dy3 0.5851 0.2744 0.0000
Dy4 0.9149 0.7744 0.5000
Y1 0.2477 0.4293 0.0000
Y2 0.2523 0.9293 0.5000
Y3 0.7477 0.0707 0.5000
Y4 0.7523 0.5707 0.0000
Mg1 0.0000 0.5000 0.5000
Mg2 0.5000 0.0000 0.0000
```

Peak list (10 most intense, 10° ≤ 2θ ≤ 90°, low angle first)
| 2theta | I/Imax |
| --- | --- |
| 11.4 | 89 |
| 18.7 | 82 |
| 30.4 | 100 |
| 30.6 | 26 |
| 31.1 | 63 |
| 35.0 | 46 |
| 35.3 | 26 |
| 36.8 | 60 |
| 37.9 | 37 |
| 38.2 | 30 |

---

# 5
In2GaSn4: computed powder diffraction line list (Cu Kα (λ = 1.5418 Å)), based on a DFT-relaxed cell (PBE, Alexandria).

Structural model:
```
data_In2GaSn4
_chemical_formula_sum 'In2 Ga1 Sn4'
_symmetry_space_group_name_H-M 'P 1'
_symmetry_Int_Tables_number 1
_cell_length_a 8.8118
_cell_length_b 8.1944
_cell_length_c 5.6287
_cell_angle_alpha 76.72
_cell_angle_beta 64.83
_cell_angle_gamma 38.44
loop_
_symmetry_equiv_pos_as_xyz
'x,y,z'
loop_
_atom_site_label
_atom_site_fract_x
_atom_site_fract_y
_atom_site_fract_z
In1 0.1161 0.1161 0.8839
In2 0.8839 0.8839 0.1161
Ga1 0.5000 0.5000 0.5000
Sn1 0.0000 0.0000 0.5000
Sn2 0.3171 0.3171 0.6829
Sn3 0.5000 0.5000 0.0000
Sn4 0.6829 0.6829 0.3171
```

Peak list (10 most intense, 10° ≤ 2θ ≤ 90°, low angle first)
| 2theta | I/Imax |
| --- | --- |
| 11.8 | 32 |
| 19.3 | 30 |
| 22.7 | 40 |
| 30.7 | 37 |
| 33.8 | 100 |
| 34.3 | 72 |
| 39.2 | 33 |
| 44.5 | 35 |
| 50.1 | 31 |
| 60.7 | 28 |

---

# 6
Pm8ErTl2: computed powder diffraction line list (Cu Kα (λ = 1.5418 Å)), based on a DFT-relaxed cell (PBE, Alexandria).

Structural model:
```
data_Pm8ErTl2
_chemical_formula_sum 'Pm8 Er1 Tl2'
_symmetry_space_group_name_H-M 'P 1'
_symmetry_Int_Tables_number 1
_cell_length_a 9.3404
_cell_length_b 9.3404
_cell_length_c 6.2107
_cell_angle_alpha 101.86
_cell_angle_beta 101.86
_cell_angle_gamma 42.60
loop_
_symmetry_equiv_pos_as_xyz
'x,y,z'
loop_
_atom_site_label
_atom_site_fract_x
_atom_site_fract_y
_atom_site_fract_z
Pm1 0.0095 0.0095 0.2482
Pm2 0.0659 0.5853 0.3711
Pm3 0.3750 0.3750 0.9134
Pm4 0.4147 0.9341 0.6289
Pm5 0.5853 0.0659 0.3711
Pm6 0.6250 0.6250 0.0866
Pm7 0.9341 0.4147 0.6289
Pm8 0.9905 0.9905 0.7518
Er1 0.5000 0.5000 0.5000
Tl1 0.1770 0.1770 0.1055
Tl2 0.8230 0.8230 0.8945
```

Peak list (10 most intense, 10° ≤ 2θ ≤ 90°, low angle first)
| 2theta | I/Imax |
| --- | --- |
| 29.0 | 24 |
| 29.4 | 26 |
| 30.2 | 59 |
| 31.6 | 53 |
| 32.3 | 34 |
| 33.1 | 100 |
| 33.5 | 32 |
| 33.9 | 24 |
| 35.0 | 55 |
| 54.0 | 22 |

---

# 7
TbPmAu: computed powder diffraction line list (Cu Kα (λ = 1.5418 Å)), based on a DFT-relaxed cell (PBE, Alexandria).

Structural model:
```
data_TbPmAu
_chemical_formula_sum 'Tb6 Pm6 Au6'
_symmetry_space_group_name_H-M 'P 1'
_symmetry_Int_Tables_number 1
_cell_length_a 8.4384
_cell_length_b 3.8804
_cell_length_c 15.3948
_cell_angle_alpha 90.00
_cell_angle_beta 91.30
_cell_angle_gamma 90.00
loop_
_symmetry_equiv_pos_as_xyz
'x,y,z'
loop_
_atom_site_label
_atom_site_fract_x
_atom_site_fract_y
_atom_site_fract_z
Tb1 0.0244 0.2500 0.4096
Tb2 0.1582 0.7500 0.9771
Tb3 0.3653 0.2500 0.2833
Tb4 0.6347 0.7500 0.7167
Tb5 0.8418 0.2500 0.0229
Tb6 0.9756 0.7500 0.5904
Pm1 0.0174 0.2500 0.7898
Pm2 0.3443 0.2500 0.5842
Pm3 0.4637 0.2500 0.8942
Pm4 0.5363 0.7500 0.1058
Pm5 0.6557 0.7500 0.4158
Pm6 0.9826 0.7500 0.2102
Au1 0.2286 0.2500 0.1099
Au2 0.2855 0.7500 0.4261
Au3 0.2856 0.7500 0.7489
Au4 0.7144 0.2500 0.2511
Au5 0.7145 0.2500 0.5739
Au6 0.7714 0.7500 0.8901
```

Peak list (10 most intense, 10° ≤ 2θ ≤ 90°, low angle first)
| 2theta | I/Imax |
| --- | --- |
| 30.6 | 100 |
| 30.9 | 43 |
| 31.1 | 33 |
| 32.8 | 32 |
| 33.3 | 40 |
| 33.7 | 92 |
| 35.0 | 34 |
| 35.7 | 34 |
| 39.6 | 30 |
| 46.8 | 58 |

---

# 8
Sr2GeN3: computed powder diffraction line list (Cu Kα (λ = 1.5418 Å)), based on a DFT-relaxed cell (PBE, Alexandria).

Structural model:
```
data_Sr2GeN3
_chemical_formula_sum 'Sr4 Ge2 N6'
_symmetry_space_group_name_H-M 'P 1'
_symmetry_Int_Tables_number 1
_cell_length_a 6.7049
_cell_length_b 6.7049
_cell_length_c 5.7886
_cell_angle_alpha 90.00
_cell_angle_beta 90.00
_cell_angle_gamma 53.62
loop_
_symmetry_equiv_pos_as_xyz
'x,y,z'
loop_
_atom_site_label
_atom_site_fract_x
_atom_site_fract_y
_atom_site_fract_z
Sr1 0.0921 0.6068 0.5000
Sr2 0.3932 0.9079 0.5000
Sr3 0.6068 0.0921 0.0000
Sr4 0.9079 0.3932 0.0000
Ge1 0.3039 0.6961 0.9994
Ge2 0.6961 0.3039 0.4994
N1 0.0380 0.6799 0.9985
N2 0.3201 0.9620 0.9985
N3 0.4987 0.5013 0.2504
N4 0.5013 0.4987 0.7504
N5 0.6799 0.0380 0.4985
N6 0.9620 0.3201 0.4985
```

Peak list (10 most intense, 10° ≤ 2θ ≤ 90°, low angle first)
| 2theta | I/Imax |
| --- | --- |
| 29.5 | 25 |
| 31.0 | 100 |
| 43.3 | 21 |
| 45.5 | 9 |
| 53.3 | 13 |
| 55.0 | 15 |
| 55.2 | 6 |
| 56.0 | 7 |
| 64.6 | 9 |
| 71.7 | 6 |